Diffraction record for PaTlV2O7. The powder diffractogram is computed, not measured: it uses a structure optimized by DFT (GGA+U) and a wavelength of 1.5418 Å.
Intensities are scaled so that the largest is 100.

Structural model:
a = 3.774 Å, b = 3.774 Å, c = 10.793 Å
α = 90.00°, β = 90.00°, γ = 90.00°
Space group P4/mmm (No. 123)
Inequivalent atoms, fractional coordinates:
Pa 0.000 0.000 0.000 (multiplicity 1)
Tl 0.000 0.000 0.500 (multiplicity 1)
V 0.500 0.500 0.200 (multiplicity 2)
O 0.000 0.500 0.144 (multiplicity 4)
O 0.500 0.500 0.000 (multiplicity 1)
O 0.500 0.500 0.357 (multiplicity 2)

Top 10 peaks for 2θ from 5° to 70°, low angle first:
index  d/Å  intensity
0 0 1  10.793  18
0 0 2  5.397  41
1 0 0  3.774  23
1 0 2  3.093  100
1 1 0  2.668  35
1 1 2  2.392  27
1 0 4  2.195  26
1 1 4  1.897  25
2 0 0  1.887  20
2 1 2  1.611  30